Record 1
Diffraction record for Ce2Mg. The PXRD pattern is computed, not measured: it uses a cell relaxed with GGA-PBE and copper Kα.
Neutral-atom scattering factors, no anomalous dispersion.

Crystal structure
Lattice parameters (Å, degrees): 3.695 3.695 12.546 90.00 90.00 90.00
Space group I4/mmm (No. 139)
Symmetry-distinct sites (fractional):
Ce: 0.000 0.000 0.165 x4
Mg: 0.000 0.000 0.500 x2

Principal peaks in the range 2θ = 5–70°, most intense first:
| two_theta | I_rel | (hkl) |
| --- | --- | --- |
| 32.3 | 100.0 | 1 0 3 |
| 34.3 | 42.6 | 1 1 0 |
| 60.2 | 33.3 | 2 1 3 |
| 25.1 | 27.8 | 1 0 1 |
| 14.1 | 22.3 | 0 0 2 |
| 56.4 | 20.3 | 1 1 6 |
| 49.3 | 15.2 | 2 0 0 |
| 67.7 | 11.6 | 2 0 6 |

---

Record 2
Diffraction record for CeMg. The PXRD pattern is computed, not measured: it uses a cell relaxed with GGA-PBE and copper Kα.
Neutral-atom scattering factors, no anomalous dispersion.

Crystal structure
Lattice parameters (Å, degrees): 3.1051 3.1051 17.7931 90.00 90.00 120.00
Space group R-3m (No. 166, hexagonal axes)
Symmetry-distinct sites (fractional):
Ce: 0.0000 0.0000 0.0000 x3
Mg: 0.0000 0.0000 0.5000 x3

Principal peaks in the range 2θ = 5–70°, most intense first:
| two_theta | I_rel | (hkl) |
| --- | --- | --- |
| 14.9 | 100.0 | 0 0 3 |
| 34.9 | 82.1 | 0 1 2 |
| 39.1 | 59.5 | 1 0 4 |
| 33.7 | 42.4 | 1 0 1 |
| 30.1 | 40.4 | 0 0 6 |
| 53.5 | 23.9 | 0 1 8 |
| 42.1 | 23.0 | 0 1 5 |
| 68.2 | 22.8 | 1 1 6 |

---

Record 3
Diffraction record for Ce3Mg. The PXRD pattern is computed, not measured: it uses a cell relaxed with GGA-PBE and copper Kα.
Neutral-atom scattering factors, no anomalous dispersion.

Crystal structure
Lattice parameters (Å, degrees): 3.256 11.025 6.035 90.00 90.00 90.00
Space group Imm2 (No. 44)
Symmetry-distinct sites (fractional):
Ce: 0.000 0.000 0.000 x2
Ce: 0.000 0.250 0.647 x4
Mg: 0.000 0.500 0.983 x2

Principal peaks in the range 2θ = 5–70°, most intense first:
| two_theta | I_rel | (hkl) |
| --- | --- | --- |
| 35.3 | 100.0 | 1 2 1 |
| 33.9 | 46.8 | 0 2 2 |
| 32.5 | 38.8 | 0 4 0 |
| 64.0 | 30.9 | 1 4 3 |
| 16.7 | 25.3 | 0 1 1 |
| 31.2 | 22.2 | 1 0 1 |
| 59.8 | 21.6 | 1 6 1 |
| 29.6 | 19.2 | 0 0 2 |